For LaPrSbO2, the GGA-PBE geometry in Alexandria gives the calculated PXRD pattern in this record (Cu Kα).

Crystal structure
```
LaPrSbO2
1.0
-2.0235 2.0235 7.0082
2.0235 -2.0235 7.0082
2.0235 2.0235 -7.0082
La Pr Sb O
1 1 1 2
direct
0.0000 0.0000 0.0000
0.6739 0.6739 0.0000
0.3343 0.3343 0.0000
0.0867 0.5867 0.5000
0.5867 0.0867 0.5000
```

Largest 8 diffraction maxima, in order of rising 2θ, 2θ from 15° to 90°:
d_spacing, 2theta, intensity
3.059, 29.19, 100
2.862, 31.26, 35
2.023, 44.79, 18
1.810, 50.43, 25
1.688, 54.36, 35
1.529, 60.54, 11
1.180, 81.54, 10
1.122, 86.77, 10